Record 1
# Tm3ZnIr2
Computed powder XRD pattern, Cu Kα (weighted mean of Kα1 and Kα2). Input: a PBE-relaxed structure.
No peak broadening, texture or thermal motion is included.

Structure:
```
data_Tm3ZnIr2
_cell_length_a 4.8263
_cell_length_b 4.8263
_cell_length_c 11.8849
_cell_angle_alpha 90.00
_cell_angle_beta 90.00
_cell_angle_gamma 120.00
_space_group_name_H-M_alt 'P -3 m 1'
_space_group_IT_number 164
_space_group_name_Hall '-P 3 2"'
loop_
_atom_site_label
_atom_site_type_symbol
_atom_site_fract_x
_atom_site_fract_y
_atom_site_fract_z
Tm1 Tm 0.0000 0.0000 0.2436
Tm2 Tm 0.3333 0.6667 0.4164
Tm3 Tm 0.3333 0.6667 0.9213
Zn1 Zn 0.3333 0.6667 0.6674
Ir1 Ir 0.0000 0.0000 0.0000
Ir2 Ir 0.0000 0.0000 0.5000
Ir3 Ir 0.3333 0.6667 0.1697
```

Main lines, by angle (2θ from 15° to 90°):
h k l  two_theta  I (rel.)
1 0 4  37.13  100
1 1 0  37.26  100
0 2 4  53.62  35
0 1 8  66.83  18
3 0 0  67.13  54
2 2 0  79.42  11

=====

Record 2
# NiBi4Rh
Computed powder XRD pattern, Cu Kα (weighted mean of Kα1 and Kα2). Input: a PBE-relaxed structure.
No peak broadening, texture or thermal motion is included.

Structure:
```
data_NiBi4Rh
_cell_length_a 6.1218
_cell_length_b 4.0381
_cell_length_c 6.1708
_cell_angle_alpha 90.00
_cell_angle_beta 93.44
_cell_angle_gamma 90.00
_space_group_name_H-M_alt 'P 1 2/m 1'
_space_group_IT_number 10
_space_group_name_Hall '-P 2y'
loop_
_atom_site_label
_atom_site_type_symbol
_atom_site_fract_x
_atom_site_fract_y
_atom_site_fract_z
Ni1 Ni 0.0000 0.0000 0.0000
Bi1 Bi 0.2598 0.5000 0.1543
Bi2 Bi 0.2674 0.0000 0.6718
Rh1 Rh 0.0000 0.5000 0.5000
```

Main lines, by angle (2θ from 15° to 90°):
h k l  two_theta  I (rel.)
2 0 0  29.23  28
1 1 -1  29.80  32
1 1 1  30.67  100
1 0 -2  31.74  48
2 1 -1  39.10  32
0 1 3  49.82  31